[1]
Simulated powder diffraction line list
Compound: Nd3Er3Sc2
Radiation: Cu Kα (weighted mean of Kα1 and Kα2)
Structure: DFT lattice parameters and positions (GGA-PBE)
Lines closer than 0.1° are merged.

Principal peaks in the range 2θ from 10° to 90°, by intensity:
2theta	intensity
31.21	100
35.78	17
36.03	17
36.76	16
61.46	14
61.79	14
62.77	13
51.69	12
65.10	12
52.24	12

Structural model:
Unit cell a=4.9854 b=5.0185 c=9.7794 alpha=90.00 beta=90.00 gamma=90.00
Positions (direct):
Nd 0.0000 0.0000 0.0000
Nd 0.0000 0.0000 0.5000
Nd 0.5000 0.5000 0.0000
Er 0.0000 0.5000 0.2526
Er 0.0000 0.5000 0.7474
Er 0.5000 0.5000 0.5000
Sc 0.5000 0.0000 0.2528
Sc 0.5000 0.0000 0.7472


[2]
Simulated powder diffraction line list
Compound: Nd3Er4Sc2
Radiation: Cu Kα (weighted mean of Kα1 and Kα2)
Structure: DFT lattice parameters and positions (GGA-PBE)
Lines closer than 0.1° are merged.

Principal peaks in the range 2θ from 10° to 90°, by intensity:
2theta	intensity
32.18	100
33.86	89
31.42	85
30.97	56
34.33	48
32.37	40
23.13	38
53.40	34
31.10	31
57.74	24

Structural model:
Unit cell a=9.6716 b=9.6716 c=6.1413 alpha=92.69 beta=92.69 gamma=81.63
Positions (direct):
Nd 0.0539 0.9461 0.7500
Nd 0.1847 0.6236 0.3995
Nd 0.3764 0.8153 0.1005
Nd 0.6236 0.1847 0.8995
Nd 0.8153 0.3764 0.6005
Nd 0.9461 0.0539 0.2500
Er 0.1519 0.2816 0.6116
Er 0.2816 0.1519 0.1116
Er 0.3365 0.4730 0.9259
Er 0.4730 0.3365 0.4259
Er 0.5270 0.6635 0.5741
Er 0.6635 0.5270 0.0741
Er 0.7184 0.8481 0.8884
Er 0.8481 0.7184 0.3884
Sc 0.0020 0.6186 0.8677
Sc 0.3814 0.9980 0.6323
Sc 0.6186 0.0020 0.3677
Sc 0.9980 0.3814 0.1323


[3]
Simulated powder diffraction line list
Compound: Nd2Er7Sc2
Radiation: Cu Kα (weighted mean of Kα1 and Kα2)
Structure: DFT lattice parameters and positions (GGA-PBE)
Lines closer than 0.1° are merged.

Principal peaks in the range 2θ from 10° to 90°, by intensity:
2theta	intensity
32.61	100
33.41	95
31.70	62
30.12	43
27.75	40
33.04	36
49.86	33
29.93	28
61.57	23
50.45	20

Structural model:
Unit cell a=3.6177 b=8.8379 c=11.0114 alpha=104.48 beta=99.45 gamma=90.10
Positions (direct):
Nd 0.0677 0.4162 0.1352
Nd 0.9323 0.5838 0.8648
Er 0.0000 0.0000 0.0000
Er 0.2940 0.4065 0.5858
Er 0.3462 0.8300 0.6974
Er 0.4262 0.2359 0.8499
Er 0.5738 0.7641 0.1501
Er 0.6538 0.1700 0.3026
Er 0.7060 0.5935 0.4142
Sc 0.2016 0.8950 0.4034
Sc 0.7984 0.1050 0.5966